Computed X-ray diffraction stick pattern
Compound: ZrTaMnO6
Radiation: Cu Kα (λ = 1.5418 Å)
Structure: a DFT-relaxed cell (GGA+U, Alexandria)

Atomic structure:
```
ZrTaMnO6
1.0
4.856 0.000 0.000
0.000 4.856 0.000
0.000 0.000 9.319
Zr Ta Mn O
2 2 2 12
Cartesian
0.000 0.000 0.000
2.428 2.428 4.659
0.000 0.000 6.218
2.428 2.428 1.559
0.000 0.000 3.100
2.428 2.428 7.759
0.907 0.907 4.626
0.922 0.922 7.651
0.975 0.975 1.585
1.453 3.403 6.244
1.506 3.350 2.991
1.521 3.335 9.285
3.335 1.521 9.285
3.350 1.506 2.991
3.403 1.453 6.244
3.881 3.881 1.585
3.934 3.934 7.651
3.950 3.950 4.626
```

Most intense lines, 2θ from 10° to 90°, by angle:
| (hkl) | 2θ/deg | d (Å) | intensity |
| --- | --- | --- | --- |
| 1 0 1 | 20.6 | 4.306 | 35 |
| 1 1 0 | 25.9 | 3.434 | 100 |
| 1 0 3 | 34.3 | 2.617 | 71 |
| 2 0 0 | 37.0 | 2.428 | 22 |
| 2 1 3 | 51.3 | 1.780 | 63 |
| 2 2 0 | 53.4 | 1.717 | 16 |
| 3 1 0 | 60.3 | 1.536 | 14 |
| 3 0 3 | 65.0 | 1.435 | 20 |
| 1 1 6 | 66.0 | 1.415 | 17 |
| 3 2 3 | 77.2 | 1.236 | 12 |
| 4 1 3 | 88.9 | 1.101 | 12 |
| 3 1 6 | 89.8 | 1.092 | 12 |